# Ce4Ge2Bi
Simulated X-ray diffraction stick pattern, Cu Kα (λ = 1.5418 Å). Input: the PBE geometry in Alexandria.

Structure:
Lattice parameters (Å, degrees): 7.952 7.952 7.952 109.94 109.94 108.54
Fractional positions:
Ce 0.145 0.732 0.742
Ce 0.154 0.240 0.758
Ce 0.268 0.010 0.413
Ce 0.482 0.395 0.242
Ce 0.596 0.855 0.587
Ce 0.605 0.846 0.087
Ce 0.760 0.518 0.913
Ce 0.990 0.404 0.258
Ge 0.239 0.625 0.114
Ge 0.375 0.489 0.614
Ge 0.511 0.125 0.886
Ge 0.875 0.761 0.386
Bi 0.000 0.000 0.000
Bi 0.750 0.250 0.500

Peak list (8 most intense, 5 to 70 degrees two-theta, most intense first)
| 2theta | I (rel.) |
| --- | --- |
| 30.94 | 100.0 |
| 30.49 | 70.4 |
| 36.66 | 62.7 |
| 36.79 | 53.4 |
| 62.68 | 20.7 |
| 23.81 | 18.7 |
| 48.29 | 17.5 |
| 36.42 | 14.7 |

---

# ThCo2H8
Simulated X-ray diffraction stick pattern, Cu Kα (λ = 1.5418 Å). Input: the PBE geometry in Alexandria.

Structure:
Lattice parameters (Å, degrees): 5.233 5.233 3.613 90.00 90.00 121.84
Fractional positions:
Th 0.000 0.000 0.000
Co 0.244 0.756 0.500
Co 0.756 0.244 0.500
H 0.119 0.380 0.500
H 0.252 0.748 0.000
H 0.380 0.119 0.500
H 0.500 0.500 0.111
H 0.500 0.500 0.889
H 0.620 0.881 0.500
H 0.748 0.252 0.000
H 0.881 0.620 0.500

Peak list (8 most intense, 5 to 70 degrees two-theta, most intense first)
| 2theta | I (rel.) |
| --- | --- |
| 19.97 | 100.0 |
| 31.55 | 79.7 |
| 31.92 | 59.5 |
| 48.06 | 49.1 |
| 42.68 | 32.3 |
| 35.29 | 29.7 |
| 34.29 | 22.6 |
| 39.40 | 21.7 |

---

# MnIrPt4
Simulated X-ray diffraction stick pattern, Cu Kα (λ = 1.5418 Å). Input: the PBE geometry in Alexandria.

Structure:
Lattice parameters (Å, degrees): 6.864 6.864 6.531 112.58 112.58 46.77
Fractional positions:
Mn 0.219 0.219 0.164
Mn 0.781 0.781 0.836
Ir 0.066 0.066 0.725
Ir 0.934 0.934 0.275
Pt 0.117 0.615 0.547
Pt 0.256 0.744 0.000
Pt 0.291 0.291 0.842
Pt 0.385 0.883 0.453
Pt 0.615 0.117 0.547
Pt 0.709 0.709 0.158
Pt 0.744 0.256 0.000
Pt 0.883 0.385 0.453

Peak list (8 most intense, 5 to 70 degrees two-theta, most intense first)
| 2theta | I (rel.) |
| --- | --- |
| 40.32 | 100.0 |
| 43.99 | 99.7 |
| 45.19 | 89.9 |
| 41.62 | 77.7 |
| 36.95 | 68.0 |
| 44.44 | 62.2 |
| 21.29 | 55.5 |
| 52.42 | 27.6 |